For K2HoMo3O12, a cell relaxed with PBE+U gives the computed XRD peak list in this record (copper Kα).
Peak positions follow from Bragg's law for the DFT cell and can differ from measured ones.

Cell: 7.5076 7.5076 18.6680 Å, 90.00 90.00 120.00°
Space group R-3m (No. 166, hexagonal axes)
One atom of each set of equivalent atoms:
K 0.0000 0.0000 0.1565
Ho 0.0000 0.0000 0.5000
Mo 0.0000 0.5000 0.0000
O 0.0448 0.5224 0.1003
O 0.0919 0.5459 0.3450

Principal peaks in the range 2θ from 15° to 90°, sorted by position:
| 2θ (°) | d [Å] | Rel. int. | hkl |
| --- | --- | --- | --- |
| 27.55 | 3.238 | 25 | 0 1 5 |
| 27.75 | 3.214 | 100 | 1 1 3 |
| 28.69 | 3.111 | 39 | 0 0 6 |
| 29.09 | 3.070 | 67 | 2 0 2 |
| 44.26 | 2.047 | 33 | 3 0 3 |
| 47.99 | 1.896 | 21 | 2 0 8 |
| 48.50 | 1.877 | 35 | 2 2 0 |
| 57.33 | 1.607 | 26 | 2 2 6 |